# Nd3Al11
Computed powder diffractogram, Cu Kα, 1.54184 Å. Input: DFT lattice parameters and positions (PBE).
Lines closer than 0.1° are merged.

Structure:
```
Nd3Al11
1.0
-2.178 5.034 6.499
2.178 -5.034 6.499
2.178 5.034 -6.499
Nd Al
3 11
direct
0.000 0.000 0.000 Nd
0.317 0.317 0.000 Nd
0.683 0.683 0.000 Nd
0.035 0.666 0.370 Al
0.137 0.863 0.274 Al
0.284 0.500 0.784 Al
0.296 0.666 0.630 Al
0.411 0.137 0.274 Al
0.500 0.000 0.500 Al
0.589 0.863 0.726 Al
0.704 0.334 0.370 Al
0.716 0.500 0.216 Al
0.863 0.137 0.726 Al
0.965 0.334 0.630 Al
```

The 6 most intense peaks (2θ from 10° to 90°), in order of rising 2θ:
d_spacing, 2θ/deg, Rel. int.
5.034, 17.62, 32.9
3.998, 22.23, 46.8
3.980, 22.34, 45.9
3.072, 29.07, 38.5
2.656, 33.75, 73.9
2.622, 34.19, 100.0


# CdPb3
Computed powder diffractogram, Cu Kα, 1.54184 Å. Input: DFT lattice parameters and positions (PBE).
Lines closer than 0.1° are merged.

Structure:
```
CdPb3
1.0
-2.403 2.403 5.233
2.403 -2.403 5.233
2.403 2.403 -5.233
Cd Pb
1 3
direct
0.000 0.000 0.000 Cd
0.250 0.750 0.500 Pb
0.500 0.500 0.000 Pb
0.750 0.250 0.500 Pb
```

The 6 most intense peaks (2θ from 10° to 90°), in order of rising 2θ:
d_spacing, 2θ/deg, Rel. int.
2.851, 31.38, 100.0
2.617, 34.27, 19.9
2.403, 37.42, 31.5
1.770, 51.64, 25.3
1.552, 59.57, 16.5
1.460, 63.76, 27.0


# KHfMg6
Computed powder diffractogram, Cu Kα, 1.54184 Å. Input: DFT lattice parameters and positions (PBE).
Lines closer than 0.1° are merged.

Structure:
```
KHfMg6
1.0
5.206 0.000 0.000
0.000 3.358 5.728
0.000 -3.358 5.728
K Hf Mg
1 1 6
direct
0.000 0.000 0.000 K
0.500 0.676 0.676 Hf
0.000 0.507 0.992 Mg
0.000 0.515 0.515 Mg
0.000 0.992 0.507 Mg
0.500 0.181 0.181 Mg
0.500 0.191 0.652 Mg
0.500 0.652 0.191 Mg
```

The 6 most intense peaks (2θ from 10° to 90°), in order of rising 2θ:
d_spacing, 2θ/deg, Rel. int.
5.794, 15.29, 74.1
5.728, 15.47, 35.2
3.873, 22.97, 64.7
2.603, 34.45, 33.9
2.531, 35.46, 100.0
2.510, 35.78, 43.9


# LiErS2O8
Computed powder diffractogram, Cu Kα, 1.54184 Å. Input: DFT lattice parameters and positions (PBE).
Lines closer than 0.1° are merged.

Structure:
```
LiErS2O8
1.0
7.535 0.000 0.000
0.000 7.535 0.000
0.000 0.000 5.843
Li Er S O
2 2 4 16
direct
0.000 0.500 0.250 Li
0.500 0.000 0.750 Li
0.000 0.500 0.750 Er
0.500 0.000 0.250 Er
0.223 0.277 0.250 S
0.277 0.777 0.750 S
0.723 0.223 0.750 S
0.777 0.723 0.250 S
0.087 0.316 0.066 O
0.096 0.791 0.655 O
0.184 0.413 0.434 O
0.209 0.096 0.345 O
0.291 0.596 0.845 O
0.316 0.913 0.934 O
0.404 0.291 0.155 O
0.413 0.816 0.566 O
0.587 0.184 0.566 O
0.596 0.709 0.155 O
0.684 0.087 0.934 O
0.709 0.404 0.845 O
0.791 0.904 0.345 O
0.816 0.587 0.434 O
0.904 0.209 0.655 O
0.913 0.684 0.066 O
```

The 6 most intense peaks (2θ from 10° to 90°), in order of rising 2θ:
d_spacing, 2θ/deg, Rel. int.
5.328, 16.64, 100.0
4.617, 19.22, 91.4
3.937, 22.58, 39.6
2.920, 30.62, 80.2
2.308, 39.03, 46.1
1.968, 46.12, 43.4


# Lu2MgNb2O8
Computed powder diffractogram, Cu Kα, 1.54184 Å. Input: DFT lattice parameters and positions (PBE).
Lines closer than 0.1° are merged.

Structure:
```
Lu2MgNb2O8
1.0
5.157 0.000 0.000
0.000 6.070 0.000
-0.252 0.000 5.330
Lu Mg Nb O
2 1 2 8
direct
0.000 0.000 0.000 Lu
0.000 0.284 0.500 Lu
0.000 0.529 0.000 Mg
0.500 0.507 0.000 Nb
0.500 0.787 0.500 Nb
0.221 0.285 0.856 O
0.243 0.000 0.353 O
0.255 0.748 0.836 O
0.264 0.517 0.316 O
0.736 0.517 0.684 O
0.745 0.748 0.164 O
0.757 0.000 0.647 O
0.779 0.285 0.144 O
```

The 6 most intense peaks (2θ from 10° to 90°), in order of rising 2θ:
d_spacing, 2θ/deg, Rel. int.
3.927, 22.64, 100.0
3.218, 27.72, 88.4
3.109, 28.72, 79.3
2.665, 33.63, 43.5
2.637, 33.99, 76.0
1.865, 48.84, 44.6


# NaMgCuO2
Computed powder diffractogram, Cu Kα, 1.54184 Å. Input: DFT lattice parameters and positions (PBE).
Lines closer than 0.1° are merged.

Structure:
```
NaMgCuO2
1.0
3.310 0.000 0.000
-1.469 2.991 0.000
-0.484 -1.762 6.566
Na Mg Cu O
1 1 1 2
direct
0.000 0.000 0.000 Na
0.525 0.138 0.643 Mg
0.781 0.557 0.322 Cu
0.234 0.544 0.757 O
0.382 0.966 0.330 O
```

The 6 most intense peaks (2θ from 10° to 90°), in order of rising 2θ:
d_spacing, 2θ/deg, Rel. int.
6.566, 13.49, 86.7
3.283, 27.16, 32.7
2.810, 31.84, 28.2
2.515, 35.70, 100.0
2.505, 35.84, 44.4
2.189, 41.25, 37.4


# Mg6TiFe
Computed powder diffractogram, Cu Kα, 1.54184 Å. Input: DFT lattice parameters and positions (PBE).
Lines closer than 0.1° are merged.

Structure:
```
Mg6TiFe
1.0
4.814 0.000 0.000
0.000 2.862 5.406
0.000 -2.862 5.406
Mg Ti Fe
6 1 1
direct
0.000 0.000 0.000 Mg
0.000 0.015 0.505 Mg
0.000 0.488 0.488 Mg
0.000 0.505 0.015 Mg
0.500 0.348 0.850 Mg
0.500 0.850 0.348 Mg
0.500 0.850 0.850 Ti
0.500 0.346 0.346 Fe
```

The 6 most intense peaks (2θ from 10° to 90°), in order of rising 2θ:
d_spacing, 2θ/deg, Rel. int.
5.406, 16.40, 23.6
2.529, 35.49, 37.0
2.407, 37.36, 45.4
2.357, 38.19, 73.3
2.239, 40.28, 100.0
1.744, 52.48, 22.5


# ZnSnAs2
Computed powder diffractogram, Cu Kα, 1.54184 Å. Input: DFT lattice parameters and positions (PBE).
Lines closer than 0.1° are merged.

Structure:
```
ZnSnAs2
1.0
2.105 1.215 6.855
-2.105 1.215 6.855
0.000 -2.430 6.855
Zn Sn As
1 1 2
direct
0.000 0.000 0.000 Zn
0.482 0.482 0.482 Sn
0.355 0.355 0.355 As
0.873 0.873 0.873 As
```

The 6 most intense peaks (2θ from 10° to 90°), in order of rising 2θ:
d_spacing, 2θ/deg, Rel. int.
3.434, 25.95, 100.0
2.287, 39.40, 11.6
2.103, 43.01, 72.2
1.794, 50.90, 33.5
1.365, 68.77, 13.7
1.215, 78.79, 17.7


# Bi3Sb5Pb4O21
Computed powder diffractogram, Cu Kα, 1.54184 Å. Input: DFT lattice parameters and positions (PBE).
Lines closer than 0.1° are merged.

Structure:
```
Bi3Sb5Pb4O21
1.0
7.432 0.000 0.000
3.667 6.496 0.000
0.063 0.028 10.179
Bi Sb Pb O
3 5 4 21
direct
0.000 0.000 0.000 Bi
0.160 0.137 0.289 Bi
0.708 0.583 0.285 Bi
0.198 0.622 0.347 Sb
0.362 0.286 0.646 Sb
0.362 0.789 0.646 Sb
0.531 0.951 0.948 Sb
0.863 0.788 0.645 Sb
0.023 0.460 0.978 Pb
0.519 0.461 0.975 Pb
0.689 0.121 0.310 Pb
0.863 0.287 0.646 Pb
0.065 0.490 0.690 O
0.065 0.884 0.688 O
0.068 0.489 0.241 O
0.073 0.881 0.237 O
0.265 0.086 0.603 O
0.272 0.077 0.057 O
0.328 0.357 0.454 O
0.332 0.756 0.452 O
0.395 0.821 0.840 O
0.399 0.213 0.838 O
0.456 0.491 0.690 O
0.463 0.491 0.240 O
0.660 0.085 0.602 O
0.660 0.692 0.604 O
0.661 0.690 0.056 O
0.665 0.081 0.052 O
0.796 0.821 0.839 O
0.859 0.287 0.889 O
0.862 0.292 0.404 O
0.889 0.273 0.153 O
0.932 0.754 0.453 O
```

The 6 most intense peaks (2θ from 10° to 90°), in order of rising 2θ:
d_spacing, 2θ/deg, Rel. int.
3.393, 26.26, 59.7
3.092, 28.88, 51.4
3.076, 29.03, 100.0
2.738, 32.70, 54.0
2.710, 33.06, 28.9
1.999, 45.38, 31.4


# TiInNi2
Computed powder diffractogram, Cu Kα, 1.54184 Å. Input: DFT lattice parameters and positions (PBE).
Lines closer than 0.1° are merged.

Structure:
```
TiInNi2
1.0
0.000 3.063 3.063
3.063 0.000 3.063
3.063 3.063 0.000
Ti In Ni
1 1 2
direct
0.000 0.000 0.000 Ti
0.500 0.500 0.500 In
0.250 0.250 0.250 Ni
0.750 0.750 0.750 Ni
```

The 6 most intense peaks (2θ from 10° to 90°), in order of rising 2θ:
d_spacing, 2θ/deg, Rel. int.
3.537, 25.18, 14.0
2.166, 41.70, 100.0
1.847, 49.34, 7.1
1.532, 60.44, 15.6
1.405, 66.53, 2.9
1.251, 76.12, 30.4


# FeSiW
Computed powder diffractogram, Cu Kα, 1.54184 Å. Input: DFT lattice parameters and positions (PBE).
Lines closer than 0.1° are merged.

Structure:
```
FeSiW
1.0
0.000 2.774 2.774
2.774 0.000 2.774
2.774 2.774 0.000
Fe Si W
1 1 1
direct
0.000 0.000 0.000 Fe
0.750 0.750 0.750 Si
0.250 0.250 0.250 W
```

The 6 most intense peaks (2θ from 10° to 90°), in order of rising 2θ:
d_spacing, 2θ/deg, Rel. int.
3.203, 27.86, 97.9
2.774, 32.28, 42.8
1.961, 46.29, 100.0
1.672, 54.90, 45.8
1.273, 74.57, 18.4
1.132, 85.82, 33.7


# GdAl2Ge2
Computed powder diffractogram, Cu Kα, 1.54184 Å. Input: DFT lattice parameters and positions (PBE).
Lines closer than 0.1° are merged.

Structure:
```
GdAl2Ge2
1.0
4.277 0.000 0.000
-2.139 3.704 0.000
0.000 0.000 6.674
Gd Al Ge
1 2 2
direct
0.000 0.000 0.000 Gd
0.333 0.667 0.643 Al
0.667 0.333 0.357 Al
0.333 0.667 0.260 Ge
0.667 0.333 0.740 Ge
```

The 6 most intense peaks (2θ from 10° to 90°), in order of rising 2θ:
d_spacing, 2θ/deg, Rel. int.
6.674, 13.27, 26.8
3.239, 27.54, 100.0
2.479, 36.23, 68.8
2.139, 42.26, 51.1
1.907, 47.68, 19.7
1.619, 56.85, 18.6


What did the eighth record say?
# ZnSnAs2
Computed powder diffractogram, Cu Kα, 1.54184 Å. Input: DFT lattice parameters and positions (PBE).
Lines closer than 0.1° are merged.

Structure:
```
ZnSnAs2
1.0
2.105 1.215 6.855
-2.105 1.215 6.855
0.000 -2.430 6.855
Zn Sn As
1 1 2
direct
0.000 0.000 0.000 Zn
0.482 0.482 0.482 Sn
0.355 0.355 0.355 As
0.873 0.873 0.873 As
```

The 6 most intense peaks (2θ from 10° to 90°), in order of rising 2θ:
d_spacing, 2θ/deg, Rel. int.
3.434, 25.95, 100.0
2.287, 39.40, 11.6
2.103, 43.01, 72.2
1.794, 50.90, 33.5
1.365, 68.77, 13.7
1.215, 78.79, 17.7